1.
The following is a theoretical powder XRD pattern of CsGd2Ag3Te5. It was derived from a DFT-relaxed cell (PBE, the Materials Project), using copper Kα.

Most intense lines, 2θ = 15–90°, low angle first:
2θ/deg, I_rel
24.97, 42
25.42, 82
26.73, 78
28.44, 66
31.47, 67
33.34, 60
34.72, 53
38.17, 100
42.08, 78
44.35, 44

Cell and atoms:
a b c (Å): 8.507 8.507 18.828
angles (deg): 90.00 90.00 147.81
Atoms (fractional coordinates):
Cs: 0.059 0.941 0.750
Cs: 0.941 0.059 0.250
Gd: 0.192 0.808 0.094
Gd: 0.192 0.808 0.406
Gd: 0.808 0.192 0.594
Gd: 0.808 0.192 0.906
Ag: 0.342 0.658 0.750
Ag: 0.417 0.583 0.034
Ag: 0.417 0.583 0.466
Ag: 0.583 0.417 0.534
Ag: 0.583 0.417 0.966
Ag: 0.658 0.342 0.250
Te: 0.179 0.821 0.571
Te: 0.179 0.821 0.929
Te: 0.253 0.747 0.250
Te: 0.434 0.566 0.618
Te: 0.434 0.566 0.882
Te: 0.566 0.434 0.118
Te: 0.566 0.434 0.382
Te: 0.747 0.253 0.750
Te: 0.821 0.179 0.071
Te: 0.821 0.179 0.429

***

2.
The following is a theoretical powder XRD pattern of Cs2PrAgI6. It was derived from a DFT-relaxed cell (PBE, the Materials Project), using copper Kα.

Most intense lines, 2θ = 15–90°, low angle first:
2θ/deg, I_rel
20.28, 21
24.91, 69
28.84, 100
41.24, 75
48.78, 33
51.11, 26
59.75, 12
65.74, 13
67.68, 34
75.18, 25

Cell and atoms:
a b c (Å): 8.756 8.756 8.756
angles (deg): 60.00 60.00 60.00
Atoms (fractional coordinates):
Cs: 0.250 0.250 0.250
Cs: 0.750 0.750 0.750
Pr: 0.000 0.000 0.000
Ag: 0.500 0.500 0.500
I: 0.253 0.253 0.747
I: 0.253 0.747 0.253
I: 0.253 0.747 0.747
I: 0.747 0.253 0.253
I: 0.747 0.253 0.747
I: 0.747 0.747 0.253

***

3.
The following is a theoretical powder XRD pattern of Cs2ScAgI6. It was derived from a DFT-relaxed cell (PBE, the Materials Project), using copper Kα.

Most intense lines, 2θ = 15–90°, low angle first:
2θ/deg, I_rel
25.82, 100
29.91, 97
42.80, 71
50.67, 46
53.09, 25
62.14, 11
68.44, 18
70.48, 31
78.40, 23
84.19, 14

Cell and atoms:
a b c (Å): 8.450 8.450 8.450
angles (deg): 60.00 60.00 60.00
Atoms (fractional coordinates):
Cs: 0.250 0.250 0.250
Cs: 0.750 0.750 0.750
Sc: 0.000 0.000 0.000
Ag: 0.500 0.500 0.500
I: 0.244 0.244 0.756
I: 0.244 0.756 0.244
I: 0.244 0.756 0.756
I: 0.756 0.244 0.244
I: 0.756 0.244 0.756
I: 0.756 0.756 0.244

***

4.
The following is a theoretical powder XRD pattern of Cs2TaAgI6. It was derived from a DFT-relaxed cell (PBE, the Materials Project), using copper Kα.

Most intense lines, 2θ = 15–90°, low angle first:
2θ/deg, I_rel
21.21, 26
26.05, 60
30.17, 100
33.84, 14
37.18, 12
43.20, 73
51.14, 26
53.59, 26
71.18, 32
79.22, 24

Cell and atoms:
a b c (Å): 8.378 8.378 8.378
angles (deg): 60.00 60.00 60.00
Atoms (fractional coordinates):
Cs: 0.250 0.250 0.250
Cs: 0.750 0.750 0.750
Ta: 0.000 0.000 0.000
Ag: 0.500 0.500 0.500
I: 0.241 0.241 0.759
I: 0.241 0.759 0.241
I: 0.241 0.759 0.759
I: 0.759 0.241 0.241
I: 0.759 0.241 0.759
I: 0.759 0.759 0.241

***

5.
The following is a theoretical powder XRD pattern of CsNb4AgP2S20. It was derived from a DFT-relaxed cell (PBE, the Materials Project), using copper Kα.

Most intense lines, 2θ = 15–90°, low angle first:
2θ/deg, I_rel
15.80, 100
16.88, 55
17.22, 22
21.79, 19
22.57, 43
29.20, 19
32.99, 34
34.14, 19
41.07, 28
43.28, 21

Cell and atoms:
a b c (Å): 7.897 12.951 14.981
angles (deg): 90.00 93.78 90.00
Atoms (fractional coordinates):
Cs: 0.000 0.000 0.238
Cs: 0.000 0.500 0.762
Nb: 0.428 0.012 0.999
Nb: 0.429 0.442 0.499
Nb: 0.435 0.151 0.501
Nb: 0.436 0.303 0.001
Nb: 0.564 0.803 0.999
Nb: 0.565 0.651 0.499
Nb: 0.571 0.942 0.501
Nb: 0.572 0.512 0.001
Ag: 0.000 0.478 0.250
Ag: 0.000 0.978 0.750
P: 0.130 0.160 0.897
P: 0.130 0.295 0.397
P: 0.870 0.660 0.103
P: 0.870 0.795 0.603
S: 0.022 0.794 0.716
S: 0.023 0.661 0.216
S: 0.103 0.028 0.971
S: 0.103 0.427 0.470
S: 0.107 0.159 0.466
S: 0.107 0.295 0.967
S: 0.333 0.864 0.096
S: 0.334 0.590 0.596
S: 0.345 0.005 0.599
S: 0.346 0.449 0.099
S: 0.375 0.656 0.935
S: 0.376 0.799 0.435
S: 0.390 0.158 0.877
S: 0.390 0.296 0.377
S: 0.390 0.296 0.616
S: 0.391 0.159 0.117
S: 0.419 0.893 0.865
S: 0.420 0.561 0.365
S: 0.433 0.033 0.367
S: 0.433 0.421 0.866
S: 0.567 0.533 0.633
S: 0.567 0.921 0.134
S: 0.580 0.061 0.635
S: 0.581 0.393 0.135
S: 0.609 0.659 0.883
S: 0.610 0.658 0.123
S: 0.610 0.796 0.384
S: 0.610 0.796 0.623
S: 0.624 0.299 0.565
S: 0.625 0.156 0.065
S: 0.654 0.949 0.901
S: 0.655 0.505 0.401
S: 0.666 0.090 0.404
S: 0.667 0.364 0.904
S: 0.893 0.659 0.534
S: 0.893 0.795 0.033
S: 0.897 0.528 0.029
S: 0.897 0.927 0.530
S: 0.977 0.161 0.784
S: 0.978 0.294 0.284

***

6.
The following is a theoretical powder XRD pattern of CsNd2Ag3Te5. It was derived from a DFT-relaxed cell (PBE, the Materials Project), using copper Kα.

Most intense lines, 2θ = 15–90°, low angle first:
2θ/deg, I_rel
25.02, 52
25.46, 100
25.80, 52
26.75, 90
28.18, 74
31.41, 92
33.24, 59
34.59, 61
38.59, 88
41.86, 87

Cell and atoms:
a b c (Å): 8.578 8.578 18.999
angles (deg): 90.00 90.00 148.43
Atoms (fractional coordinates):
Cs: 0.059 0.941 0.750
Cs: 0.941 0.059 0.250
Nd: 0.191 0.809 0.093
Nd: 0.191 0.809 0.407
Nd: 0.809 0.191 0.593
Nd: 0.809 0.191 0.907
Ag: 0.340 0.660 0.750
Ag: 0.414 0.586 0.030
Ag: 0.414 0.586 0.470
Ag: 0.586 0.414 0.530
Ag: 0.586 0.414 0.970
Ag: 0.660 0.340 0.250
Te: 0.174 0.826 0.573
Te: 0.174 0.826 0.927
Te: 0.253 0.747 0.250
Te: 0.439 0.561 0.619
Te: 0.439 0.561 0.881
Te: 0.561 0.439 0.119
Te: 0.561 0.439 0.381
Te: 0.747 0.253 0.750
Te: 0.826 0.174 0.073
Te: 0.826 0.174 0.427

***

7.
The following is a theoretical powder XRD pattern of CsNpAgS3. It was derived from a DFT-relaxed cell (PBE, the Materials Project), using copper Kα.

Most intense lines, 2θ = 15–90°, low angle first:
2θ/deg, I_rel
20.40, 90
22.63, 73
27.47, 39
28.07, 100
28.79, 83
32.45, 84
34.29, 63
38.44, 35
39.93, 69
41.48, 35

Cell and atoms:
a b c (Å): 8.125 8.125 10.461
angles (deg): 90.00 90.00 150.49
Atoms (fractional coordinates):
Cs: 0.240 0.760 0.750
Cs: 0.760 0.240 0.250
Np: 0.500 0.500 0.000
Np: 0.500 0.500 0.500
Ag: 0.043 0.957 0.250
Ag: 0.957 0.043 0.750
S: 0.112 0.888 0.035
S: 0.112 0.888 0.465
S: 0.446 0.554 0.250
S: 0.554 0.446 0.750
S: 0.888 0.112 0.535
S: 0.888 0.112 0.965

***

8.
The following is a theoretical powder XRD pattern of CsAg7S4. It was derived from a DFT-relaxed cell (PBE, the Materials Project), using copper Kα.

Most intense lines, 2θ = 15–90°, low angle first:
2θ/deg, I_rel
22.17, 35
24.83, 28
31.56, 100
33.52, 20
35.18, 25
35.40, 65
38.91, 49
45.24, 29
46.70, 25
68.19, 19

Cell and atoms:
a b c (Å): 11.341 11.341 8.570
angles (deg): 90.00 90.00 90.00
Atoms (fractional coordinates):
Cs: 0.250 0.250 0.123
Cs: 0.250 0.250 0.626
Cs: 0.750 0.750 0.374
Cs: 0.750 0.750 0.877
Ag: 0.000 0.000 0.000
Ag: 0.000 0.500 0.000
Ag: 0.022 0.958 0.661
Ag: 0.042 0.522 0.339
Ag: 0.109 0.788 0.383
Ag: 0.114 0.766 0.876
Ag: 0.212 0.609 0.617
Ag: 0.234 0.614 0.124
Ag: 0.266 0.886 0.124
Ag: 0.288 0.891 0.617
Ag: 0.386 0.734 0.876
Ag: 0.391 0.712 0.383
Ag: 0.458 0.978 0.339
Ag: 0.478 0.542 0.661
Ag: 0.500 0.000 0.000
Ag: 0.500 0.500 0.000
Ag: 0.522 0.458 0.339
Ag: 0.542 0.022 0.661
Ag: 0.609 0.288 0.617
Ag: 0.614 0.266 0.124
Ag: 0.712 0.109 0.383
Ag: 0.734 0.114 0.876
Ag: 0.766 0.386 0.876
Ag: 0.788 0.391 0.383
Ag: 0.886 0.234 0.124
Ag: 0.891 0.212 0.617
Ag: 0.958 0.478 0.661
Ag: 0.978 0.042 0.339
S: 0.006 0.692 0.624
S: 0.013 0.688 0.132
S: 0.188 0.987 0.868
S: 0.192 0.994 0.376
S: 0.308 0.506 0.376
S: 0.312 0.513 0.868
S: 0.487 0.812 0.132
S: 0.494 0.808 0.624
S: 0.506 0.192 0.376
S: 0.513 0.188 0.868
S: 0.688 0.487 0.132
S: 0.692 0.494 0.624
S: 0.808 0.006 0.624
S: 0.812 0.013 0.132
S: 0.987 0.312 0.868
S: 0.994 0.308 0.376

***

9.
The following is a theoretical powder XRD pattern of Cs3Ag9Sb4S12. It was derived from a DFT-relaxed cell (PBE, the Materials Project), using copper Kα.

Most intense lines, 2θ = 15–90°, low angle first:
2θ/deg, I_rel
22.32, 13
25.00, 50
28.44, 100
29.54, 13
33.64, 12
35.64, 14
39.92, 22
45.20, 12
49.12, 22
52.34, 19

Cell and atoms:
a b c (Å): 9.983 9.983 9.983
angles (deg): 111.31 111.31 105.86
Atoms (fractional coordinates):
Cs: 0.000 0.000 0.000
Cs: 0.326 0.326 0.000
Cs: 0.674 0.674 0.000
Ag: 0.157 0.668 0.154
Ag: 0.250 0.750 0.500
Ag: 0.332 0.486 0.489
Ag: 0.499 0.009 0.169
Ag: 0.514 0.002 0.846
Ag: 0.670 0.501 0.510
Ag: 0.841 0.330 0.831
Ag: 0.991 0.159 0.490
Ag: 0.998 0.843 0.511
Sb: 0.125 0.607 0.744
Sb: 0.393 0.136 0.518
Sb: 0.618 0.875 0.482
Sb: 0.864 0.382 0.256
S: 0.105 0.435 0.220
S: 0.116 0.895 0.331
S: 0.215 0.884 0.780
S: 0.300 0.330 0.634
S: 0.334 0.700 0.030
S: 0.425 0.216 0.320
S: 0.565 0.785 0.669
S: 0.670 0.304 0.970
S: 0.696 0.666 0.366
S: 0.784 0.104 0.209
S: 0.895 0.575 0.791
S: 0.896 0.105 0.680

***

Number 8 is which compound?
CsAg7S4